Computed powder diffractogram of K3RbCo2Cl8 for a wavelength of 1.5418 Å, from a structure optimized by DFT (GGA-PBE).
Intensities are scaled so that the largest is 100.

Principal peaks in the range 2θ from 15° to 90°, sorted by position:
5.439 Å, I 100, hkl 0 0 2; 4.113 Å, I 48, hkl 0 1 2; 3.624 Å, I 83, hkl 1 1 0; 2.720 Å, I 93, hkl 0 0 4; 2.176 Å, I 40, hkl 1 1 4; 1.812 Å, I 35, hkl 2 2 0

Cell and atoms:
abc: 7.2473 7.2473 10.8884
angles: 90.00 90.00 120.00
Sites, in units of the cell vectors:
K (0.0000, 0.0000, 0.0000)
K (0.3333, 0.6667, 0.7284)
K (0.6667, 0.3333, 0.2716)
Rb (0.0000, 0.0000, 0.5000)
Co (0.3333, 0.6667, 0.2012)
Co (0.6667, 0.3333, 0.7988)
Cl (0.1655, 0.3310, 0.2736)
Cl (0.1655, 0.8345, 0.2736)
Cl (0.3310, 0.1655, 0.7264)
Cl (0.3333, 0.6667, 0.9965)
Cl (0.6667, 0.3333, 0.0035)
Cl (0.6690, 0.8345, 0.2736)
Cl (0.8345, 0.1655, 0.7264)
Cl (0.8345, 0.6690, 0.7264)